Entry 1:
Gd2DyErIn2: calculated XRD peak list (Cu Kα), based on the PBE geometry in OQMD.
Neutral-atom scattering factors, no anomalous dispersion.

Largest 8 diffraction maxima, in order of rising 2θ, 10° ≤ 2θ ≤ 90°:
| 2θ (°) | I_rel |
| --- | --- |
| 32.8 | 95 |
| 33.2 | 100 |
| 47.4 | 34 |
| 59.0 | 35 |
| 59.3 | 19 |
| 65.3 | 28 |
| 79.2 | 15 |
| 84.8 | 14 |

Atomic structure:
```
Gd2DyErIn2
1.0
5.398 0.000 0.000
-2.699 4.675 0.000
0.000 0.000 6.732
Gd Dy Er In
2 1 1 2
Cartesian
0.000 0.000 1.686 Gd
0.000 0.000 5.046 Gd
0.000 3.116 0.000 Dy
2.699 1.558 3.366 Er
0.000 3.116 3.366 In
2.699 1.558 0.000 In
```

---

Entry 2:
GdDy2ErIn2: calculated XRD peak list (Cu Kα), based on the PBE geometry in OQMD.
Neutral-atom scattering factors, no anomalous dispersion.

Largest 8 diffraction maxima, in order of rising 2θ, 10° ≤ 2θ ≤ 90°:
| 2θ (°) | I_rel |
| --- | --- |
| 32.8 | 97 |
| 33.3 | 100 |
| 47.4 | 35 |
| 59.1 | 36 |
| 59.4 | 19 |
| 65.4 | 28 |
| 79.3 | 15 |
| 84.9 | 14 |

Atomic structure:
```
GdDy2ErIn2
1.0
5.389 0.000 0.000
-2.694 4.667 0.000
0.000 0.000 6.728
Gd Dy Er In
1 2 1 2
Cartesian
0.000 0.000 0.000 Gd
2.694 1.556 1.687 Dy
2.694 1.556 5.041 Dy
0.000 3.111 3.364 Er
0.000 0.000 3.364 In
0.000 3.111 0.000 In
```

---

Entry 3:
DyErGe2: calculated XRD peak list (Cu Kα), based on the PBE geometry in OQMD.
Neutral-atom scattering factors, no anomalous dispersion.

Largest 8 diffraction maxima, in order of rising 2θ, 10° ≤ 2θ ≤ 90°:
| 2θ (°) | I_rel |
| --- | --- |
| 29.7 | 84 |
| 32.1 | 100 |
| 33.1 | 95 |
| 35.7 | 84 |
| 37.4 | 54 |
| 40.5 | 77 |
| 46.2 | 39 |
| 58.0 | 39 |

Atomic structure:
```
DyErGe2
1.0
3.932 0.000 0.000
0.000 5.761 0.000
0.000 0.000 7.931
Dy Er Ge
2 2 4
Cartesian
0.000 0.756 0.000 Dy
0.000 5.005 3.965 Dy
1.966 2.126 5.070 Er
1.966 3.634 1.104 Er
0.000 2.276 2.870 Ge
0.000 3.485 6.836 Ge
1.966 0.604 2.200 Ge
1.966 5.156 6.166 Ge
```

---

Entry 4:
DyEr2Ni4Ge4: calculated XRD peak list (Cu Kα), based on the PBE geometry in OQMD.
Neutral-atom scattering factors, no anomalous dispersion.

Largest 8 diffraction maxima, in order of rising 2θ, 10° ≤ 2θ ≤ 90°:
| 2θ (°) | I_rel |
| --- | --- |
| 35.3 | 100 |
| 36.0 | 31 |
| 37.2 | 100 |
| 40.2 | 32 |
| 44.6 | 37 |
| 45.3 | 29 |
| 65.5 | 19 |
| 80.6 | 15 |

Atomic structure:
```
DyEr2Ni4Ge4
1.0
-2.031 3.357 6.722
2.031 -3.357 6.722
2.031 3.357 -6.722
Dy Er Ni Ge
1 2 4 4
Cartesian
0.000 0.000 0.000 Dy
2.031 0.000 4.984 Er
0.000 3.357 1.738 Er
2.031 1.313 -2.383 Ni
2.031 1.313 2.383 Ni
0.000 2.044 4.339 Ni
0.000 2.044 9.105 Ni
0.000 0.000 2.926 Ge
2.031 2.062 0.000 Ge
0.000 1.295 6.722 Ge
0.000 0.000 10.519 Ge
```

---

Entry 5:
DyErGe2Pt: calculated XRD peak list (Cu Kα), based on the PBE geometry in OQMD.
Neutral-atom scattering factors, no anomalous dispersion.

Largest 8 diffraction maxima, in order of rising 2θ, 10° ≤ 2θ ≤ 90°:
| 2θ (°) | I_rel |
| --- | --- |
| 32.7 | 88 |
| 33.4 | 64 |
| 33.6 | 55 |
| 34.4 | 35 |
| 36.8 | 40 |
| 40.6 | 100 |
| 41.7 | 63 |
| 55.1 | 31 |

Atomic structure:
```
DyErGe2Pt
1.0
5.223 -2.166 0.000
5.223 2.166 0.000
-4.755 0.000 9.196
Dy Er Ge Pt
2 2 4 2
Cartesian
-1.467 0.000 3.015 Dy
7.157 0.000 6.180 Dy
1.424 0.000 1.050 Er
4.266 0.000 8.146 Er
1.591 0.000 4.118 Ge
4.416 0.000 1.033 Ge
1.274 0.000 8.163 Ge
4.099 0.000 5.078 Ge
-0.320 0.000 6.132 Pt
6.009 0.000 3.064 Pt
```

---

Entry 6:
DyErHf2Sb2: calculated XRD peak list (Cu Kα), based on the PBE geometry in OQMD.
Neutral-atom scattering factors, no anomalous dispersion.

Largest 8 diffraction maxima, in order of rising 2θ, 10° ≤ 2θ ≤ 90°:
| 2θ (°) | I_rel |
| --- | --- |
| 31.7 | 100 |
| 32.6 | 37 |
| 34.5 | 33 |
| 37.0 | 95 |
| 42.5 | 59 |
| 54.6 | 44 |
| 71.6 | 24 |
| 74.2 | 25 |

Atomic structure:
```
DyErHf2Sb2
1.0
-2.126 2.126 8.230
2.126 -2.126 8.230
2.126 2.126 -8.230
Dy Er Hf Sb
1 1 2 2
Cartesian
0.000 0.000 0.000 Dy
0.000 0.000 5.794 Er
2.126 0.000 2.907 Hf
0.000 2.126 2.907 Hf
0.000 0.000 8.955 Sb
0.000 0.000 13.314 Sb
```

---

Entry 7:
DyHoEr2Mg2: calculated XRD peak list (Cu Kα), based on the PBE geometry in OQMD.
Neutral-atom scattering factors, no anomalous dispersion.

Largest 8 diffraction maxima, in order of rising 2θ, 10° ≤ 2θ ≤ 90°:
| 2θ (°) | I_rel |
| --- | --- |
| 10.3 | 21 |
| 25.1 | 17 |
| 26.5 | 27 |
| 31.3 | 20 |
| 33.0 | 30 |
| 33.6 | 100 |
| 35.5 | 17 |
| 59.3 | 20 |

Atomic structure:
```
DyHoEr2Mg2
1.0
5.433 0.000 0.000
0.000 1.815 8.563
0.000 -1.815 8.563
Dy Ho Er Mg
1 1 2 2
Cartesian
0.000 0.000 0.000 Dy
2.716 0.000 13.912 Ho
0.000 0.000 11.642 Er
2.716 0.000 2.274 Er
0.000 0.000 5.838 Mg
2.716 0.000 8.074 Mg
```

---

Entry 8:
DyHo2ErMg2: calculated XRD peak list (Cu Kα), based on the PBE geometry in OQMD.
Neutral-atom scattering factors, no anomalous dispersion.

Largest 8 diffraction maxima, in order of rising 2θ, 10° ≤ 2θ ≤ 90°:
| 2θ (°) | I_rel |
| --- | --- |
| 10.3 | 19 |
| 25.0 | 18 |
| 26.5 | 27 |
| 31.3 | 20 |
| 32.9 | 30 |
| 33.5 | 100 |
| 35.5 | 16 |
| 59.2 | 20 |

Atomic structure:
```
DyHo2ErMg2
1.0
5.439 0.000 0.000
0.000 1.820 8.572
0.000 -1.820 8.572
Dy Ho Er Mg
1 2 1 2
Cartesian
0.000 0.000 0.000 Dy
0.000 0.000 5.485 Ho
2.719 0.000 14.866 Ho
2.719 0.000 3.211 Er
0.000 0.000 11.295 Mg
2.719 0.000 9.061 Mg
```

---

Entry 9:
DyEr2In3Ir2: calculated XRD peak list (Cu Kα), based on the PBE geometry in OQMD.
Neutral-atom scattering factors, no anomalous dispersion.

Largest 8 diffraction maxima, in order of rising 2θ, 10° ≤ 2θ ≤ 90°:
| 2θ (°) | I_rel |
| --- | --- |
| 13.4 | 28 |
| 34.1 | 100 |
| 36.1 | 68 |
| 36.8 | 70 |
| 41.1 | 19 |
| 56.4 | 20 |
| 63.4 | 26 |
| 70.5 | 22 |

Atomic structure:
```
DyEr2In3Ir2
1.0
3.636 0.000 0.000
0.000 6.586 3.800
0.000 -6.586 3.800
Dy Er In Ir
1 2 3 2
Cartesian
0.000 0.000 0.000 Dy
0.000 -2.779 2.790 Er
0.000 2.779 2.790 Er
1.818 0.000 2.612 In
1.818 -1.546 5.285 In
1.818 1.546 5.285 In
1.818 -4.388 4.395 Ir
1.818 4.388 4.395 Ir
```

---

Entry 10:
DyEr2Mg3In3: calculated XRD peak list (Cu Kα), based on the PBE geometry in OQMD.
Neutral-atom scattering factors, no anomalous dispersion.

Largest 8 diffraction maxima, in order of rising 2θ, 10° ≤ 2θ ≤ 90°:
| 2θ (°) | I_rel |
| --- | --- |
| 19.1 | 14 |
| 23.8 | 17 |
| 27.6 | 26 |
| 30.7 | 51 |
| 33.7 | 100 |
| 38.7 | 23 |
| 54.7 | 12 |
| 66.8 | 14 |

Atomic structure:
```
DyEr2Mg3In3
1.0
4.658 0.000 0.000
0.000 6.487 3.731
0.000 -6.487 3.731
Dy Er Mg In
1 2 3 3
Cartesian
0.000 0.000 0.000 Dy
0.000 -2.826 2.585 Er
0.000 2.826 2.585 Er
2.329 0.000 2.405 Mg
2.329 -1.566 5.109 Mg
2.329 1.566 5.109 Mg
0.000 0.000 4.197 In
2.329 -4.315 4.211 In
2.329 4.315 4.211 In
```

---

Entry 11:
DyEr2Mg4In2: calculated XRD peak list (Cu Kα), based on the PBE geometry in OQMD.
Neutral-atom scattering factors, no anomalous dispersion.

Largest 8 diffraction maxima, in order of rising 2θ, 10° ≤ 2θ ≤ 90°:
| 2θ (°) | I_rel |
| --- | --- |
| 13.6 | 54 |
| 27.3 | 21 |
| 30.5 | 90 |
| 33.5 | 100 |
| 36.4 | 20 |
| 38.8 | 24 |
| 54.3 | 27 |
| 65.4 | 22 |

Atomic structure:
```
DyEr2Mg4In2
1.0
4.641 0.000 0.000
0.000 6.545 3.765
0.000 -6.545 3.765
Dy Er Mg In
1 2 4 2
Cartesian
0.000 0.000 0.000 Dy
0.000 -2.864 4.932 Er
0.000 2.864 4.932 Er
0.000 0.000 3.303 Mg
2.321 -1.588 2.375 Mg
2.321 1.588 2.375 Mg
2.321 0.000 5.121 Mg
2.321 -4.355 3.284 In
2.321 4.355 3.284 In
```

---

Entry 12:
Dy2ErMg3In3: calculated XRD peak list (Cu Kα), based on the PBE geometry in OQMD.
Neutral-atom scattering factors, no anomalous dispersion.

Largest 8 diffraction maxima, in order of rising 2θ, 10° ≤ 2θ ≤ 90°:
| 2θ (°) | I_rel |
| --- | --- |
| 19.0 | 14 |
| 23.8 | 17 |
| 27.5 | 26 |
| 30.6 | 51 |
| 33.7 | 100 |
| 38.6 | 23 |
| 54.6 | 12 |
| 66.7 | 14 |

Atomic structure:
```
Dy2ErMg3In3
1.0
4.665 0.000 0.000
0.000 6.476 3.753
0.000 -6.476 3.753
Dy Er Mg In
2 1 3 3
Cartesian
0.000 -3.656 3.753 Dy
0.000 3.656 3.753 Dy
0.000 0.000 2.605 Er
2.333 0.000 0.175 Mg
2.333 -1.564 4.963 Mg
2.333 1.564 4.963 Mg
0.000 0.000 5.858 In
2.333 -2.149 2.119 In
2.333 2.149 2.119 In
```

---

Entry 13:
DyEr2Mg3ZnIn2: calculated XRD peak list (Cu Kα), based on the PBE geometry in OQMD.
Neutral-atom scattering factors, no anomalous dispersion.

Largest 8 diffraction maxima, in order of rising 2θ, 10° ≤ 2θ ≤ 90°:
| 2θ (°) | I_rel |
| --- | --- |
| 13.7 | 25 |
| 23.8 | 20 |
| 31.0 | 100 |
| 34.0 | 31 |
| 34.1 | 62 |
| 39.7 | 27 |
| 42.1 | 20 |
| 66.6 | 23 |

Atomic structure:
```
DyEr2Mg3ZnIn2
1.0
4.545 0.000 0.000
0.000 6.472 3.715
0.000 -6.472 3.715
Dy Er Mg Zn In
1 2 3 1 2
Cartesian
0.000 0.000 0.000 Dy
0.000 -2.692 2.794 Er
0.000 2.692 2.794 Er
2.272 0.000 2.581 Mg
2.272 -1.525 5.211 Mg
2.272 1.525 5.211 Mg
0.000 0.000 4.322 Zn
2.272 -4.306 4.339 In
2.272 4.306 4.339 In
```

---

Entry 14:
DyErIn2Ni4: calculated XRD peak list (Cu Kα), based on the PBE geometry in OQMD.
Neutral-atom scattering factors, no anomalous dispersion.

Largest 8 diffraction maxima, in order of rising 2θ, 10° ≤ 2θ ≤ 90°:
| 2θ (°) | I_rel |
| --- | --- |
| 31.2 | 100 |
| 34.1 | 31 |
| 35.3 | 32 |
| 38.5 | 57 |
| 42.7 | 32 |
| 44.1 | 26 |
| 44.2 | 25 |
| 45.4 | 33 |

Atomic structure:
```
DyErIn2Ni4
1.0
3.994 0.000 0.000
0.000 5.085 0.000
0.000 0.000 6.986
Dy Er In Ni
1 1 2 4
Cartesian
0.000 0.000 0.000 Dy
0.000 2.542 3.718 Er
1.997 0.000 4.349 In
1.997 2.542 6.359 In
0.000 0.000 2.661 Ni
0.000 2.542 1.074 Ni
1.997 1.277 1.873 Ni
1.997 3.808 1.873 Ni
```

---

Entry 15:
DyErIn2Pt4: calculated XRD peak list (Cu Kα), based on the PBE geometry in OQMD.
Neutral-atom scattering factors, no anomalous dispersion.

Largest 8 diffraction maxima, in order of rising 2θ, 10° ≤ 2θ ≤ 90°:
| 2θ (°) | I_rel |
| --- | --- |
| 22.5 | 20 |
| 30.0 | 12 |
| 37.6 | 100 |
| 39.4 | 88 |
| 55.6 | 33 |
| 66.6 | 12 |
| 70.3 | 33 |
| 71.5 | 15 |

Atomic structure:
```
DyErIn2Pt4
1.0
4.572 0.000 0.000
-2.286 3.959 0.000
0.000 0.000 9.009
Dy Er In Pt
1 1 2 4
Cartesian
0.000 0.000 0.000 Dy
0.000 2.640 4.505 Er
2.286 1.320 2.259 In
2.286 1.320 6.750 In
0.000 0.000 3.093 Pt
0.000 0.000 5.916 Pt
0.000 2.640 1.431 Pt
0.000 2.640 7.578 Pt
```